No. 1
For Re3Tc2Os4, a structure optimized by DFT (GGA-PBE) gives the computed X-ray diffraction stick pattern in this record (λ = 1.5418 Å (Cu Kα)).
Peak positions follow from Bragg's law for the DFT cell and can differ from measured ones.

The 8 most intense peaks (2θ = 5–70°), by intensity:
two_theta	I/Imax	(hkl)
41.60	100.0	5 1 -1
42.46	82.1	3 3 1
41.13	72.3	2 4 0
40.02	70.5	1 1 2
39.81	68.3	3 3 -1
36.54	68.0	3 3 0
43.05	66.6	2 2 -2
39.38	57.5	5 1 0

Crystal structure
a b c (Å): 11.881 9.458 4.885
angles (deg): 90.00 97.01 90.00
Space group C2/c (No. 15)
Unique sites:
Re1 0.000 0.008 0.250
Re2 0.099 0.440 0.425
Tc1 0.247 0.116 0.095
Os1 0.054 0.248 0.010
Os2 0.163 0.177 0.563

No. 2
For ReTc5Os2, a structure optimized by DFT (GGA-PBE) gives the computed X-ray diffraction stick pattern in this record (λ = 1.5418 Å (Cu Kα)).
Peak positions follow from Bragg's law for the DFT cell and can differ from measured ones.

The 8 most intense peaks (2θ = 5–70°), by intensity:
two_theta	I/Imax	(hkl)
40.25	100.0	2 2 0
46.76	32.5	0 0 2
68.41	20.6	0 4 2
46.93	16.1	0 4 0
68.27	10.4	4 0 0
22.87	6.6	0 0 1
32.65	6.2	2 2 -1
19.81	3.7	1 1 -1

Crystal structure
a b c (Å): 7.765 7.744 5.495
angles (deg): 90.00 134.95 90.00
Space group C2 (No. 5)
Unique sites:
Re1 0.000 0.000 0.000
Tc1 0.000 0.006 0.500
Tc2 0.000 0.499 0.500
Tc3 0.000 0.507 0.000
Tc4 0.249 0.252 0.506
Os1 0.250 0.252 0.996

No. 3
For Re3Tc2Os2, a structure optimized by DFT (GGA-PBE) gives the computed X-ray diffraction stick pattern in this record (λ = 1.5418 Å (Cu Kα)).
Peak positions follow from Bragg's law for the DFT cell and can differ from measured ones.

The 8 most intense peaks (2θ = 5–70°), by intensity:
two_theta	I/Imax	(hkl)
40.66	100.0	1 0 3
39.83	78.4	1 1 0
43.62	43.1	2 0 -1
44.46	34.3	0 1 3
64.04	23.2	2 1 -4
9.62	22.5	0 0 1
42.29	20.7	1 1 -2
46.88	18.9	1 1 2

Crystal structure
a b c (Å): 4.150 2.730 9.420
angles (deg): 90.00 102.69 90.00
Space group P2/m (No. 10)
Unique sites:
Re1 0.000 0.000 0.000
Re2 0.288 0.500 0.576
Tc1 0.429 0.500 0.856
Os1 0.151 0.000 0.303

No. 4
For ReTcOs3, a structure optimized by DFT (GGA-PBE) gives the computed X-ray diffraction stick pattern in this record (λ = 1.5418 Å (Cu Kα)).
Peak positions follow from Bragg's law for the DFT cell and can differ from measured ones.

The 8 most intense peaks (2θ = 5–70°), by intensity:
two_theta	I/Imax	(hkl)
43.08	100.0	1 1 2
41.41	24.8	0 2 0
37.52	16.2	1 0 -3
57.12	14.6	2 2 -1
67.68	11.8	3 0 1
37.59	8.3	2 0 -1
67.86	5.8	3 0 -4
19.63	2.3	1 0 -1

Crystal structure
a b c (Å): 4.786 4.361 7.322
angles (deg): 90.00 108.96 90.00
Space group P2_1/m (No. 11)
Unique sites:
Re1 0.166 0.250 0.499
Tc1 0.364 0.250 0.901
Os1 0.033 0.750 0.900
Os2 0.232 0.750 0.298
Os3 0.432 0.750 0.701

No. 5
For ReTc3Os, a structure optimized by DFT (GGA-PBE) gives the computed X-ray diffraction stick pattern in this record (λ = 1.5418 Å (Cu Kα)).
Peak positions follow from Bragg's law for the DFT cell and can differ from measured ones.

The 8 most intense peaks (2θ = 5–70°), by intensity:
two_theta	I/Imax	(hkl)
43.02	100.0	1 1 3
40.90	25.4	0 2 2
37.61	25.3	2 1 0
67.88	17.0	3 1 2
56.77	15.3	-2 1 2
20.60	4.5	0 1 0
27.19	2.8	1 1 -1
20.12	2.2	0 1 1

Crystal structure
a b c (Å): 4.783 5.206 7.065
angles (deg): 71.24 89.98 62.68
Space group P1 (No. 1)
Unique sites:
Re1 0.000 0.000 0.000
Re2 0.191 0.618 0.399
Tc1 0.062 0.213 0.299
Tc2 0.392 0.215 0.801
Tc3 0.465 0.407 0.099
Tc4 0.663 0.006 0.500
Tc5 0.798 0.403 0.599
Tc6 0.857 0.615 0.898
Os1 0.261 0.810 0.699
Os2 0.598 0.810 0.200

No. 6
For ThReOs, a structure optimized by DFT (GGA-PBE) gives the computed X-ray diffraction stick pattern in this record (λ = 1.5418 Å (Cu Kα)).
Peak positions follow from Bragg's law for the DFT cell and can differ from measured ones.

The 8 most intense peaks (2θ = 5–70°), by intensity:
two_theta	I/Imax	(hkl)
37.36	100.0	1 2 1
38.65	97.0	0 2 2
39.79	82.4	2 1 1
32.57	60.3	1 1 2
68.22	52.4	2 2 4
37.82	47.9	0 1 3
41.80	42.6	2 0 2
60.97	24.1	2 3 1

Crystal structure
a b c (Å): 5.185 5.796 7.825
angles (deg): 90.00 90.00 90.00
Space group Imma (No. 74)
Unique sites:
Th1 0.000 0.250 0.124
Re1 0.250 0.250 0.750
Os1 0.000 0.000 0.500

> What is the formula in the third record?

Re3Tc2Os2